Simulated powder diffractogram
Compound: UNi22B6
Radiation: Cu Kα (λ = 1.5418 Å)
Structure: a cell relaxed with GGA-PBE
Neutral-atom scattering factors, no anomalous dispersion.

Peak list (12 most intense, 10 to 90 degrees two-theta, in order of rising 2θ)
| 2θ (°) | Rel. int. |
| --- | --- |
| 14.50 | 20 |
| 16.76 | 7 |
| 27.98 | 18 |
| 29.25 | 9 |
| 41.84 | 39 |
| 44.51 | 100 |
| 48.70 | 23 |
| 51.86 | 17 |
| 57.10 | 6 |
| 76.40 | 23 |
| 78.27 | 17 |
| 88.09 | 6 |

Atomic structure:
```
UNi22B6
1.0
0.000 5.289 5.289
5.289 0.000 5.289
5.289 5.289 0.000
U Ni B
1 22 6
Direct
0.000 0.000 0.000
0.000 0.000 0.342
0.000 0.000 0.658
0.000 0.342 0.000
0.000 0.342 0.658
0.000 0.658 0.000
0.000 0.658 0.342
0.148 0.617 0.617
0.250 0.250 0.250
0.342 0.000 0.000
0.342 0.000 0.658
0.342 0.658 0.000
0.383 0.383 0.383
0.383 0.383 0.852
0.383 0.852 0.383
0.617 0.148 0.617
0.617 0.617 0.148
0.617 0.617 0.617
0.658 0.000 0.000
0.658 0.000 0.342
0.658 0.342 0.000
0.750 0.750 0.750
0.852 0.383 0.383
0.277 0.277 0.723
0.277 0.723 0.277
0.277 0.723 0.723
0.723 0.277 0.277
0.723 0.277 0.723
0.723 0.723 0.277
```